Starting from a GGA-PBE-relaxed structure, the powder diffractogram of Sm6Ir2O was calculated for a wavelength of 1.5418 Å.
No peak broadening, texture or thermal motion is included.

Principal peaks in the range 2θ = 10–90°, low angle first:
Position (°2θ)  intensity  (hkl)
18.32  42  0 0 2
30.82  70  0 2 2
31.31  100  1 0 -4
31.85  57  2 1 -3
32.94  37  1 1 2
33.59  53  1 2 1
33.71  71  2 0 -4
37.27  69  0 2 3
39.86  37  1 3 -1
55.84  40  2 1 3

Structure:
```
data_Sm6Ir2O
_space_group_name_H-M_alt 'P 1 21/c 1'
_space_group_IT_number 14
_space_group_name_Hall '-P 2ybc'
_cell_length_a 6.4936
_cell_length_b 7.2387
_cell_length_c 11.5074
_cell_angle_alpha 90.00
_cell_angle_beta 122.48
_cell_angle_gamma 90.00
loop_
_atom_site_label
_atom_site_fract_x
_atom_site_fract_y
_atom_site_fract_z
_atom_site_occupancy
Sm1 0.1140 0.0375 0.2425 1
Sm2 0.2374 0.6814 0.0647 1
Sm3 0.3761 0.1709 0.0606 1
Ir1 0.3068 0.1087 0.7565 1
O1 0.0000 0.0000 0.0000 1
```